Simulated X-ray diffraction stick pattern of Ni13W2 for copper Kα, from a PBE-relaxed structure.
Lines closer than 0.1° are merged.

Cell: 6.9763 6.9763 6.9763 Å, 54.21 54.21 54.21°
Sites, in units of the cell vectors:
Ni: 0.0000 0.0000 0.0000
Ni: 0.1156 0.1157 0.5063
Ni: 0.1156 0.5063 0.1156
Ni: 0.2552 0.2552 0.6304
Ni: 0.2552 0.6304 0.2552
Ni: 0.3696 0.7448 0.7448
Ni: 0.4937 0.8844 0.8844
Ni: 0.5063 0.1156 0.1156
Ni: 0.6304 0.2552 0.2552
Ni: 0.7448 0.3696 0.7448
Ni: 0.7448 0.7448 0.3696
Ni: 0.8844 0.4937 0.8844
Ni: 0.8844 0.8844 0.4937
W: 0.1372 0.1372 0.1372
W: 0.8628 0.8628 0.8628

Peak list (8 most intense, 10° ≤ 2θ ≤ 90°, low angle first)
16.86 deg, intensity 55; 25.74 deg, intensity 26; 28.07 deg, intensity 20; 31.94 deg, intensity 24; 43.83 deg, intensity 100; 48.76 deg, intensity 49; 59.21 deg, intensity 17; 89.14 deg, intensity 24



Simulated X-ray diffraction stick pattern of YNi4W for copper Kα, from a PBE-relaxed structure.
Lines closer than 0.1° are merged.

Cell: 4.9103 4.9103 4.9103 Å, 60.00 60.00 60.00°
Sites, in units of the cell vectors:
Y: 0.0000 0.0000 0.0000
Ni: 0.1286 0.6238 0.6238
Ni: 0.6238 0.1286 0.6238
Ni: 0.6238 0.6238 0.1286
Ni: 0.6238 0.6238 0.6238
W: 0.2500 0.2500 0.2500

Peak list (8 most intense, 10° ≤ 2θ ≤ 90°, low angle first)
22.17 deg, intensity 14; 36.60 deg, intensity 55; 43.21 deg, intensity 100; 45.23 deg, intensity 20; 65.89 deg, intensity 19; 70.46 deg, intensity 30; 77.81 deg, intensity 22; 89.20 deg, intensity 9



Simulated X-ray diffraction stick pattern of ZnNiW for copper Kα, from a PBE-relaxed structure.
Lines closer than 0.1° are merged.

Cell: 4.7996 4.7996 5.8157 Å, 107.40 107.40 40.12°
Sites, in units of the cell vectors:
Zn: 0.0018 0.0018 0.2190
Zn: 0.9982 0.9982 0.7810
Ni: 0.3224 0.3224 0.9171
Ni: 0.6776 0.6776 0.0829
W: 0.3297 0.3297 0.4085
W: 0.6703 0.6703 0.5915

Peak list (8 most intense, 10° ≤ 2θ ≤ 90°, low angle first)
16.08 deg, intensity 34; 31.67 deg, intensity 30; 41.43 deg, intensity 100; 41.93 deg, intensity 99; 44.42 deg, intensity 41; 44.62 deg, intensity 40; 55.84 deg, intensity 21; 73.99 deg, intensity 17



Simulated X-ray diffraction stick pattern of ZnNi6W for copper Kα, from a PBE-relaxed structure.
Lines closer than 0.1° are merged.

Cell: 3.6154 3.6154 7.1592 Å, 90.00 90.00 90.00°
Sites, in units of the cell vectors:
Zn: 0.0000 0.0000 0.0000
Ni: 0.0000 0.5000 0.2527
Ni: 0.0000 0.5000 0.7473
Ni: 0.5000 0.0000 0.2527
Ni: 0.5000 0.0000 0.7473
Ni: 0.5000 0.5000 0.0000
Ni: 0.5000 0.5000 0.5000
W: 0.0000 0.0000 0.5000

Peak list (8 most intense, 10° ≤ 2θ ≤ 90°, low angle first)
12.36 deg, intensity 17; 24.62 deg, intensity 8; 27.64 deg, intensity 10; 43.50 deg, intensity 100; 50.49 deg, intensity 32; 51.03 deg, intensity 15; 74.19 deg, intensity 9; 74.62 deg, intensity 19



Simulated X-ray diffraction stick pattern of ZnNiW2 for copper Kα, from a PBE-relaxed structure.
Lines closer than 0.1° are merged.

Cell: 4.7934 4.7934 4.7934 Å, 133.26 133.26 68.24°
Sites, in units of the cell vectors:
Zn: 0.0000 0.0000 0.0000
Ni: 0.2500 0.7500 0.5000
W: 0.5000 0.5000 0.0000
W: 0.7500 0.2500 0.5000

Peak list (8 most intense, 10° ≤ 2θ ≤ 90°, low angle first)
25.98 deg, intensity 32; 40.53 deg, intensity 100; 45.73 deg, intensity 18; 47.84 deg, intensity 31; 68.33 deg, intensity 21; 81.01 deg, intensity 13; 84.12 deg, intensity 24; 87.68 deg, intensity 11



Simulated X-ray diffraction stick pattern of Y2Ni7 for copper Kα, from a PBE-relaxed structure.
Lines closer than 0.1° are merged.

Cell: 12.4073 12.4073 12.4073 Å, 23.01 23.01 23.01°
Sites, in units of the cell vectors:
Y: 0.0504 0.0504 0.0504
Y: 0.1471 0.1471 0.1471
Y: 0.8529 0.8529 0.8529
Y: 0.9496 0.9496 0.9496
Ni: 0.0000 0.5000 0.5000
Ni: 0.1088 0.6098 0.6098
Ni: 0.2782 0.2782 0.2782
Ni: 0.3882 0.3882 0.3882
Ni: 0.3902 0.3902 0.8912
Ni: 0.3902 0.8912 0.3902
Ni: 0.5000 0.0000 0.5000
Ni: 0.5000 0.5000 0.0000
Ni: 0.5000 0.5000 0.5000
Ni: 0.6098 0.1088 0.6098
Ni: 0.6098 0.6098 0.1088
Ni: 0.6118 0.6118 0.6118
Ni: 0.7218 0.7218 0.7218
Ni: 0.8912 0.3902 0.3902

Peak list (8 most intense, 10° ≤ 2θ ≤ 90°, low angle first)
32.36 deg, intensity 22; 36.30 deg, intensity 33; 42.24 deg, intensity 30; 42.90 deg, intensity 100; 45.05 deg, intensity 21; 46.90 deg, intensity 22; 69.86 deg, intensity 21; 77.08 deg, intensity 21



What did the fourth record say?
Simulated X-ray diffraction stick pattern of ZnNi6W for copper Kα, from a PBE-relaxed structure.
Lines closer than 0.1° are merged.

Cell: 3.6154 3.6154 7.1592 Å, 90.00 90.00 90.00°
Sites, in units of the cell vectors:
Zn: 0.0000 0.0000 0.0000
Ni: 0.0000 0.5000 0.2527
Ni: 0.0000 0.5000 0.7473
Ni: 0.5000 0.0000 0.2527
Ni: 0.5000 0.0000 0.7473
Ni: 0.5000 0.5000 0.0000
Ni: 0.5000 0.5000 0.5000
W: 0.0000 0.0000 0.5000

Peak list (8 most intense, 10° ≤ 2θ ≤ 90°, low angle first)
12.36 deg, intensity 17; 24.62 deg, intensity 8; 27.64 deg, intensity 10; 43.50 deg, intensity 100; 50.49 deg, intensity 32; 51.03 deg, intensity 15; 74.19 deg, intensity 9; 74.62 deg, intensity 19



Which formula does entry 6 have? Y2Ni7